(1)
Ce8Sn2Pb: calculated PXRD pattern (CuKα), based on the GGA-PBE geometry in Alexandria.
No peak broadening, texture or thermal motion is included.

Main lines, by angle (15° ≤ 2θ ≤ 90°):
d (Å), intensity
3.975, 247
2.943, 909
2.863, 566
2.787, 1000
2.745, 421
2.707, 297
2.629, 509
2.505, 618
1.928, 225
1.587, 257

Cell and atoms:
```
data_Ce8Sn2Pb
_symmetry_space_group_name_H-M 'P 1'
_symmetry_Int_Tables_number 1
_symmetry_space_group_name_Hall 'P 1'
_cell_length_a 8.225
_cell_length_b 8.225
_cell_length_c 5.854
_cell_angle_alpha 101.46
_cell_angle_beta 101.46
_cell_angle_gamma 117.00
loop_
_atom_site_label
_atom_site_type_symbol
_atom_site_fract_x
_atom_site_fract_y
_atom_site_fract_z
Ce1 Ce 0.081 0.276 0.590
Ce2 Ce 0.235 0.765 0.000
Ce3 Ce 0.276 0.081 0.590
Ce4 Ce 0.410 0.410 0.147
Ce5 Ce 0.590 0.590 0.853
Ce6 Ce 0.724 0.919 0.410
Ce7 Ce 0.765 0.235 0.000
Ce8 Ce 0.919 0.724 0.410
Sn1 Sn 0.311 0.689 0.500
Sn2 Sn 0.689 0.311 0.500
Pb1 Pb 0.000 0.000 0.000
```

(2)
Ce8Sn3Pb4: calculated PXRD pattern (CuKα), based on the GGA-PBE geometry in Alexandria.
No peak broadening, texture or thermal motion is included.

Main lines, by angle (15° ≤ 2θ ≤ 90°):
d (Å), intensity
3.192, 1000
2.263, 131
2.257, 519
2.251, 129
1.846, 142
1.840, 140
1.596, 134
1.428, 247
1.305, 138
1.301, 137

Cell and atoms:
```
data_Ce8Sn3Pb4
_symmetry_space_group_name_H-M 'P 1'
_symmetry_Int_Tables_number 1
_symmetry_space_group_name_Hall 'P 1'
_cell_length_a 9.028
_cell_length_b 9.028
_cell_length_c 9.006
_cell_angle_alpha 119.91
_cell_angle_beta 119.91
_cell_angle_gamma 90.01
loop_
_atom_site_label
_atom_site_type_symbol
_atom_site_fract_x
_atom_site_fract_y
_atom_site_fract_z
Ce1 Ce 0.248 0.248 0.497
Ce2 Ce 0.248 0.248 0.999
Ce3 Ce 0.249 0.751 0.000
Ce4 Ce 0.250 0.750 0.500
Ce5 Ce 0.750 0.250 0.500
Ce6 Ce 0.751 0.249 0.000
Ce7 Ce 0.752 0.752 0.001
Ce8 Ce 0.752 0.752 0.503
Sn1 Sn 0.000 0.000 0.000
Sn2 Sn 0.000 0.500 0.500
Sn3 Sn 0.500 0.000 0.500
Pb1 Pb 0.000 0.000 0.500
Pb2 Pb 0.000 0.500 0.000
Pb3 Pb 0.500 0.000 0.000
Pb4 Pb 0.500 0.500 0.000
```

(3)
Ce5Sn2Pb: calculated PXRD pattern (CuKα), based on the GGA-PBE geometry in Alexandria.
No peak broadening, texture or thermal motion is included.

Main lines, by angle (15° ≤ 2θ ≤ 90°):
d (Å), intensity
4.462, 228
2.877, 358
2.850, 815
2.683, 265
2.637, 1000
2.445, 512
2.014, 131
1.954, 218
1.602, 281
1.555, 143

Cell and atoms:
```
data_Ce5Sn2Pb
_symmetry_space_group_name_H-M 'P 1'
_symmetry_Int_Tables_number 1
_symmetry_space_group_name_Hall 'P 1'
_cell_length_a 6.477
_cell_length_b 6.477
_cell_length_c 13.913
_cell_angle_alpha 90.00
_cell_angle_beta 90.00
_cell_angle_gamma 127.77
loop_
_atom_site_label
_atom_site_type_symbol
_atom_site_fract_x
_atom_site_fract_y
_atom_site_fract_z
Ce1 Ce 0.042 0.958 0.750
Ce2 Ce 0.104 0.896 0.033
Ce3 Ce 0.104 0.896 0.467
Ce4 Ce 0.423 0.577 0.072
Ce5 Ce 0.423 0.577 0.428
Ce6 Ce 0.577 0.423 0.572
Ce7 Ce 0.577 0.423 0.928
Ce8 Ce 0.896 0.104 0.533
Ce9 Ce 0.896 0.104 0.967
Ce10 Ce 0.958 0.042 0.250
Sn1 Sn 0.302 0.698 0.638
Sn2 Sn 0.302 0.698 0.862
Sn3 Sn 0.698 0.302 0.138
Sn4 Sn 0.698 0.302 0.362
Pb1 Pb 0.243 0.757 0.250
Pb2 Pb 0.757 0.243 0.750
```